(1)
Theoretical powder diffractogram of Ba2LiC2O6 for Cu Kα X-rays, from DFT lattice parameters and positions (GGA-PBE).

Crystal structure
```
Ba2LiC2O6
1.0
4.530 0.000 0.000
0.000 5.558 0.000
-1.536 -0.017 6.720
Ba Li C O
2 1 2 6
Direct
0.000 0.000 0.000
0.269 0.500 0.509
0.799 0.499 0.894
0.323 0.498 0.959
0.887 0.999 0.523
0.059 0.999 0.394
0.157 0.502 0.103
0.472 0.705 0.932
0.476 0.291 0.940
0.809 0.795 0.591
0.810 0.203 0.591
```

Main lines, in order of falling intensity (2θ from 10° to 90°):
index	two_theta	I_rel
0 1 -1	20.74	100
1 1 0	25.77	100
0 0 2	26.53	93
1 0 0	20.10	48
2 -1 0	44.15	47
-1 1 1	26.86	41

***

(2)
Theoretical powder diffractogram of Ba2LiC2O6 for Cu Kα X-rays, from DFT lattice parameters and positions (GGA-PBE).

Crystal structure
```
Ba2LiC2O6
1.0
4.656 0.000 0.000
-0.007 5.486 0.000
-1.798 -0.052 6.602
Ba Li C O
2 1 2 6
Direct
0.000 0.000 0.000
0.364 0.495 0.587
0.577 0.991 0.423
0.037 0.997 0.581
0.436 0.501 0.062
0.194 0.998 0.438
0.260 0.501 0.180
0.516 0.294 0.996
0.517 0.707 0.997
0.875 0.206 0.591
0.879 0.785 0.590
```

Main lines, in order of falling intensity (2θ from 10° to 90°):
index	two_theta	I_rel
1 -1 0	25.63	100
0 0 2	27.01	53
0 1 1	21.14	33
0 1 -1	20.97	33
1 1 -1	26.44	27
0 2 0	32.64	24